(1)
# NaBe2BO3F2
Computed X-ray powder pattern, Cu Kα (λ = 1.5418 Å). Input: a DFT-relaxed cell (GGA-PBE, Alexandria).
Kinematic intensities with the Lorentz-polarization factor, no thermal factor.

Cell and atoms:
```
data_NaBe2BO3F2
_space_group_name_H-M_alt 'C 1 2 1'
_space_group_IT_number 5
_cell_length_a 12.950
_cell_length_b 8.756
_cell_length_c 7.633
_cell_angle_alpha 90.00
_cell_angle_beta 113.11
_cell_angle_gamma 90.00
loop_
_space_group_symop_operation_xyz
'x,y,z'
'-x,y,-z'
'x+1/2,y+1/2,z'
'-x+1/2,y+1/2,-z'
loop_
_atom_site_label
_atom_site_type_symbol
_atom_site_fract_x
_atom_site_fract_y
_atom_site_fract_z
Na1 Na 0.000 0.000 0.000
Na2 Na 0.000 0.138 0.500
Na3 Na 0.000 0.399 0.000
Na4 Na 0.000 0.545 0.500
Be1 Be 0.184 0.912 0.801
Be2 Be 0.190 0.634 0.302
Be3 Be 0.216 0.382 0.804
Be4 Be 0.222 0.163 0.303
B1 B 0.215 0.645 0.978
B2 B 0.228 0.902 0.486
O1 O 0.205 0.724 0.815
O2 O 0.210 0.724 0.130
O3 O 0.224 0.983 0.638
O4 O 0.228 0.745 0.488
O5 O 0.234 0.489 0.991
O6 O 0.237 0.978 0.335
F1 F 0.061 0.956 0.756
F2 F 0.069 0.577 0.249
F3 F 0.091 0.344 0.694
F4 F 0.097 0.199 0.189
```

Principal peaks in the range 2θ from 10° to 80°, by intensity:
2theta	I_rel
30.9	100
14.9	51
30.0	42
43.9	37
41.0	31
24.6	20
28.4	18
48.0	18
43.3	17
35.2	15

***

(2)
# Ta2ReSb
Computed X-ray powder pattern, Cu Kα (λ = 1.5418 Å). Input: a DFT-relaxed cell (GGA-PBE, Alexandria).
Kinematic intensities with the Lorentz-polarization factor, no thermal factor.

Cell and atoms:
```
data_Ta2ReSb
_space_group_name_H-M_alt 'C 1 2/m 1'
_space_group_IT_number 12
_cell_length_a 5.750
_cell_length_b 7.712
_cell_length_c 3.245
_cell_angle_alpha 90.00
_cell_angle_beta 90.21
_cell_angle_gamma 90.00
loop_
_space_group_symop_operation_xyz
'x,y,z'
'-x,-y,-z'
'-x,y,-z'
'x,-y,z'
'x+1/2,y+1/2,z'
'-x+1/2,-y+1/2,-z'
'-x+1/2,y+1/2,-z'
'x+1/2,-y+1/2,z'
loop_
_atom_site_label
_atom_site_type_symbol
_atom_site_fract_x
_atom_site_fract_y
_atom_site_fract_z
Ta1 Ta 0.250 0.250 0.000
Re1 Re 0.000 0.000 0.500
Sb1 Sb 0.000 0.500 0.500
```

Principal peaks in the range 2θ from 10° to 80°, by intensity:
2theta	I_rel
36.2	100
39.1	81
41.9	33
42.1	33
64.9	28
47.1	24
76.7	23
65.0	18
70.9	14
71.2	14